Ba2Si2Pt: simulated powder diffraction line list (Cu Kα (weighted mean of Kα1 and Kα2)), based on a DFT-relaxed cell (GGA-PBE, Alexandria).
Kinematic intensities with the Lorentz-polarization factor, no thermal factor.

Most intense lines, 2θ = 5–70°, most intense first:
Position (°2θ)	d_spacing	intensity	index
31.48	2.842	1000	2 0 1
34.31	2.614	669	2 1 1
24.97	3.566	662	1 1 1
32.79	2.731	479	0 0 2
42.97	2.105	384	3 1 0
55.08	1.667	371	3 1 2
38.24	2.353	208	2 2 0
61.49	1.508	200	3 3 1
30.02	2.977	188	2 1 0
51.24	1.783	180	2 2 2

Atomic structure:
```
data_Ba2Si2Pt
_symmetry_space_group_name_H-M 'P 1'
_symmetry_Int_Tables_number 1
_symmetry_space_group_name_Hall 'P 1'
_cell_length_a 6.657
_cell_length_b 6.657
_cell_length_c 5.462
_cell_angle_alpha 90.00
_cell_angle_beta 90.00
_cell_angle_gamma 90.00
loop_
_atom_site_label
_atom_site_fract_x
_atom_site_fract_y
_atom_site_fract_z
_atom_site_occupancy
Ba1 0.179 0.321 0.000 1
Ba2 0.321 0.821 0.000 1
Ba3 0.679 0.179 0.000 1
Ba4 0.821 0.679 0.000 1
Si1 0.131 0.631 0.500 1
Si2 0.369 0.131 0.500 1
Si3 0.631 0.869 0.500 1
Si4 0.869 0.369 0.500 1
Pt1 0.000 0.000 0.500 1
Pt2 0.500 0.500 0.500 1
```